Theoretical powder diffraction line list
Compound: LiLuCoO3
Radiation: λ = 1.5418 Å (Cu Kα)
Structure: the PBE+U geometry in OQMD
Intensities are scaled so that the largest is 100.

Top 10 peaks for 5 to 70 degrees two-theta, in order of rising 2θ:
19.01°, I 34.4; 20.25°, I 21.2; 27.91°, I 100.0; 30.33°, I 42.9; 36.74°, I 45.2; 41.06°, I 22.1; 46.19°, I 43.0; 51.99°, I 30.6; 57.65°, I 25.2; 67.03°, I 25.1

Structural model:
a = 3.106 Å, b = 9.337 Å, c = 8.770 Å
α = 90.00°, β = 90.00°, γ = 90.00°
Space group Cmc2_1 (No. 36)
Symmetry-distinct sites (fractional):
1 Li 0.000 0.007 0.000
2 Lu 0.000 0.500 0.250
3 Co 0.000 0.261 0.501
4 O 0.000 0.134 0.155
5 O 0.000 0.134 0.845
6 O 0.000 0.399 0.000